Record 1
This entry pairs a crystal structure of Ac2Y2Se5 with its theoretical powder X-ray diffraction pattern. Radiation: a wavelength of 1.5418 Å. Structure: a crystal structure in Alexandria, relaxed with GGA-PBE.

The 8 most intense peaks (10° ≤ 2θ ≤ 80°), low angle first:
- 16.13 deg, 5.495 Å, I 21
- 21.45 deg, 4.143 Å, I 24
- 24.24 deg, 3.671 Å, I 39
- 24.75 deg, 3.597 Å, I 51
- 30.12 deg, 2.967 Å, I 25
- 32.59 deg, 2.747 Å, I 100
- 35.45 deg, 2.532 Å, I 38
- 42.97 deg, 2.105 Å, I 27

Structural model:
```
Ac2Y2Se5
1.0
-9.5139 4.1433 3.6712
9.5139 -4.1433 3.6712
9.5139 4.1433 -3.6712
Ac Y Se
4 4 10
direct
0.0574 0.0977 0.1551
0.0574 0.4023 0.4597
0.9426 0.5977 0.5403
0.9426 0.9023 0.8449
0.3709 0.7264 0.1444
0.5298 0.0298 0.5000
0.5298 0.5298 0.0000
0.5820 0.2264 0.8556
0.0243 0.3484 0.1759
0.0281 0.2759 0.8025
0.0281 0.7256 0.2521
0.1726 0.8484 0.8241
0.4735 0.2256 0.1975
0.4735 0.7759 0.7479
0.4978 0.2356 0.5502
0.4978 0.4476 0.7622
0.6854 0.7356 0.2378
0.6854 0.9476 0.4498
```

***

Record 2
This entry pairs a crystal structure of Ac2YSe3 with its theoretical powder X-ray diffraction pattern. Radiation: a wavelength of 1.5418 Å. Structure: a crystal structure in Alexandria, relaxed with GGA-PBE.

The 8 most intense peaks (10° ≤ 2θ ≤ 80°), low angle first:
- 24.91 deg, 3.575 Å, I 15
- 25.35 deg, 3.514 Å, I 13
- 29.09 deg, 3.069 Å, I 100
- 41.07 deg, 2.198 Å, I 13
- 41.60 deg, 2.171 Å, I 50
- 51.10 deg, 1.787 Å, I 13
- 52.05 deg, 1.757 Å, I 13
- 68.32 deg, 1.373 Å, I 22

Structural model:
```
Ac2YSe3
1.0
0.0000 6.1456 12.8496
4.3951 0.0000 12.8496
4.3951 6.1456 0.0000
Ac Y Se
8 4 12
direct
0.0447 0.0447 0.2053
0.1226 0.1226 0.6274
0.2053 0.2053 0.0447
0.3726 0.3726 0.8774
0.6274 0.6274 0.1226
0.7947 0.7947 0.9553
0.8774 0.8774 0.3726
0.9553 0.9553 0.7947
0.2917 0.2917 0.4583
0.4583 0.4583 0.2917
0.5417 0.5417 0.7083
0.7083 0.7083 0.5417
0.0368 0.5387 0.2329
0.1493 0.6007 0.6007
0.2329 0.6916 0.0368
0.3084 0.7671 0.4613
0.3993 0.8507 0.8507
0.4613 0.9632 0.3084
0.5387 0.0368 0.6916
0.6007 0.1493 0.1493
0.6916 0.2329 0.5387
0.7671 0.3084 0.9632
0.8507 0.3993 0.3993
0.9632 0.4613 0.7671
```

***

Record 3
This entry pairs a crystal structure of Ac2YSe4 with its theoretical powder X-ray diffraction pattern. Radiation: a wavelength of 1.5418 Å. Structure: a crystal structure in Alexandria, relaxed with GGA-PBE.

The 8 most intense peaks (10° ≤ 2θ ≤ 80°), low angle first:
- 13.44 deg, 6.588 Å, I 48
- 20.61 deg, 4.309 Å, I 40
- 23.81 deg, 3.737 Å, I 34
- 31.09 deg, 2.877 Å, I 27
- 31.25 deg, 2.862 Å, I 100
- 31.51 deg, 2.839 Å, I 29
- 36.04 deg, 2.492 Å, I 48
- 42.66 deg, 2.120 Å, I 27

Structural model:
```
Ac2YSe4
1.0
6.9336 -2.0733 0.0000
6.9336 2.0733 0.0000
-4.4949 0.0000 7.4356
Ac Y Se
2 1 4
direct
0.1477 0.1477 0.2010
0.8523 0.8523 0.7990
0.5000 0.5000 0.5000
0.1628 0.1628 0.5781
0.4425 0.4425 0.1329
0.5575 0.5575 0.8671
0.8372 0.8372 0.4219
```

***

Record 4
This entry pairs a crystal structure of AcY4Se8 with its theoretical powder X-ray diffraction pattern. Radiation: a wavelength of 1.5418 Å. Structure: a crystal structure in Alexandria, relaxed with GGA-PBE.

The 8 most intense peaks (10° ≤ 2θ ≤ 80°), low angle first:
- 13.13 deg, 6.743 Å, I 22
- 14.88 deg, 5.955 Å, I 17
- 30.01 deg, 2.977 Å, I 100
- 41.59 deg, 2.172 Å, I 37
- 44.30 deg, 2.045 Å, I 35
- 54.43 deg, 1.686 Å, I 18
- 68.79 deg, 1.365 Å, I 15
- 72.70 deg, 1.301 Å, I 15

Structural model:
```
AcY4Se8
1.0
4.0898 2.3612 7.3302
-4.0898 2.3612 7.3302
0.0000 -4.7225 7.3302
Ac Y Se
1 4 8
direct
0.0000 0.0000 0.0000
0.0000 0.0000 0.5000
0.0000 0.5000 0.0000
0.5000 0.0000 0.0000
0.5000 0.5000 0.5000
0.2391 0.2391 0.2391
0.2432 0.7410 0.7410
0.2590 0.2590 0.7568
0.2590 0.7568 0.2590
0.7410 0.2432 0.7410
0.7410 0.7410 0.2432
0.7568 0.2590 0.2590
0.7609 0.7609 0.7609
```

***

Record 5
This entry pairs a crystal structure of Ac4Si3 with its theoretical powder X-ray diffraction pattern. Radiation: a wavelength of 1.5418 Å. Structure: a crystal structure in Alexandria, relaxed with GGA-PBE.

The 8 most intense peaks (10° ≤ 2θ ≤ 80°), low angle first:
- 20.53 deg, 4.327 Å, I 18
- 21.51 deg, 4.130 Å, I 17
- 28.74 deg, 3.106 Å, I 100
- 29.47 deg, 3.031 Å, I 33
- 31.03 deg, 2.882 Å, I 16
- 38.20 deg, 2.356 Å, I 15
- 48.97 deg, 1.860 Å, I 16
- 56.06 deg, 1.640 Å, I 20

Structural model:
```
Ac4Si3
1.0
12.6181 0.0000 0.0000
-6.3091 10.9276 0.0000
0.0000 0.0000 4.7123
Ac Si
12 9
direct
0.0165 0.2421 0.2488
0.1389 0.6260 0.2459
0.2257 0.9835 0.2488
0.2421 0.2257 0.7512
0.3740 0.5130 0.2459
0.4870 0.8611 0.2459
0.5130 0.1389 0.7541
0.6260 0.4870 0.7541
0.7579 0.7743 0.2488
0.7743 0.0165 0.7512
0.8611 0.3740 0.7541
0.9835 0.7579 0.7512
0.0000 0.0000 0.5000
0.1597 0.4473 0.7461
0.2876 0.8403 0.7461
0.3333 0.6667 0.7426
0.4473 0.2876 0.2539
0.5527 0.7124 0.7461
0.6667 0.3333 0.2574
0.7124 0.1597 0.2539
0.8403 0.5527 0.2539
```

***

Record 6
This entry pairs a crystal structure of Ac3Si2 with its theoretical powder X-ray diffraction pattern. Radiation: a wavelength of 1.5418 Å. Structure: a crystal structure in Alexandria, relaxed with GGA-PBE.

The 8 most intense peaks (10° ≤ 2θ ≤ 80°), low angle first:
- 21.01 deg, 4.229 Å, I 28
- 25.97 deg, 3.431 Å, I 36
- 29.11 deg, 3.068 Å, I 100
- 29.42 deg, 3.036 Å, I 44
- 33.64 deg, 2.664 Å, I 31
- 47.79 deg, 1.903 Å, I 20
- 49.36 deg, 1.846 Å, I 22
- 56.22 deg, 1.636 Å, I 23

Structural model:
```
Ac3Si2
1.0
-2.3256 3.4313 5.0775
2.3256 -3.4313 5.0775
2.3256 3.4313 -5.0775
Ac Si
3 2
direct
0.0000 0.0000 0.0000
0.3024 0.8024 0.5000
0.6976 0.1976 0.5000
0.3188 0.5000 0.8188
0.6812 0.5000 0.1812
```